This entry pairs a crystal structure of Ho2MgCuO4 with its theoretical powder X-ray diffraction pattern. Radiation: CuKα. Structure: a structure optimized by DFT (PBE).

Structure:
Unit cell a=4.047 b=4.047 c=16.602 alpha=90.00 beta=90.00 gamma=90.00
Space group I4/mmm (No. 139)
Asymmetric unit:
Ho: 0.000 0.000 0.193 x4
Mg: 0.000 0.000 0.000 x2
Cu: 0.000 0.000 0.500 x2
O: 0.000 0.500 0.000 x4
O: 0.000 0.500 0.250 x4

Principal peaks in the range 2θ = 15–90°, by angle:
hkl 0 0 4, 21.41°, I 19.9
hkl 1 0 3, 27.30°, I 100.0
hkl 1 1 0, 31.26°, I 40.5
hkl 0 0 6, 32.35°, I 10.9
hkl 1 1 2, 33.11°, I 12.7
hkl 1 0 5, 34.95°, I 36.5
hkl 1 0 7, 44.27°, I 14.4
hkl 2 0 0, 44.79°, I 28.1
hkl 1 1 6, 45.60°, I 16.7
hkl 2 1 3, 53.25°, I 31.5
hkl 2 1 5, 58.04°, I 17.4
hkl 1 1 10, 64.94°, I 12.1